Diffraction record for Ba6MgIr6O18. The XRD peak list is theoretical, not measured: it uses a GGA-PBE-relaxed structure and Cu Kα (weighted mean of Kα1 and Kα2).
Neutral-atom scattering factors, no anomalous dispersion.

Principal peaks in the range 5° ≤ 2θ ≤ 70°, sorted by position:
| index | two_theta | I_rel |
| --- | --- | --- |
| 0 1 1 | 17.22 | 25 |
| 0 1 4 | 27.60 | 31 |
| 1 1 4 | 28.74 | 30 |
| 1 0 -4 | 29.25 | 24 |
| -1 1 1 | 29.83 | 86 |
| 1 2 0 | 30.10 | 85 |
| 1 0 4 | 30.26 | 33 |
| 1 1 -4 | 30.94 | 64 |
| 2 1 0 | 31.47 | 100 |
| 2 -1 4 | 54.79 | 25 |

```
data_Ba6MgIr6O18
_chemical_formula_sum 'Ba6 Mg1 Ir6 O18'
_symmetry_space_group_name_H-M 'P 1'
_symmetry_Int_Tables_number 1
_symmetry_space_group_name_Hall 'P 1'
_cell_length_a 5.6867
_cell_length_b 5.9822
_cell_length_c 15.0762
_cell_angle_alpha 83.46
_cell_angle_beta 88.70
_cell_angle_gamma 62.19
loop_
_atom_site_label
_atom_site_fract_x
_atom_site_fract_y
_atom_site_fract_z
_atom_site_occupancy
Ba1 0.0000 0.0000 0.0000 1
Ba2 0.0602 0.8817 0.2960 1
Ba3 0.4218 0.1522 0.4803 1
Ba4 0.4833 0.0320 0.7770 1
Ba5 0.6909 0.6082 0.1452 1
Ba6 0.7927 0.4238 0.6318 1
Mg1 0.2408 0.5166 0.8885 1
Ir1 0.0944 0.8028 0.5348 1
Ir2 0.1596 0.6998 0.7185 1
Ir3 0.3238 0.3326 0.0583 1
Ir4 0.3883 0.2301 0.2417 1
Ir5 0.7410 0.5162 0.3884 1
Ir6 0.7414 0.5159 0.8885 1
O1 0.0195 0.4716 0.7936 1
O2 0.0594 0.8983 0.8220 1
O3 0.1109 0.3545 0.3373 1
O4 0.1914 0.1375 0.1500 1
O5 0.2128 0.5653 0.1615 1
O6 0.2701 0.4679 0.6151 1
O7 0.2922 0.8943 0.6266 1
O8 0.3706 0.6716 0.4389 1
O9 0.4240 0.1339 0.9549 1
O10 0.4632 0.5608 0.9833 1
O11 0.5194 0.4721 0.7929 1
O12 0.6014 0.8426 0.2956 1
O13 0.6343 0.3407 0.3006 1
O14 0.6535 0.1319 0.1398 1
O15 0.8301 0.9013 0.6370 1
O16 0.8472 0.6913 0.4764 1
O17 0.8816 0.1899 0.4812 1
O18 0.9631 0.5598 0.9841 1
```

Diffraction record for Ba6MgIr6O18. The XRD peak list is theoretical, not measured: it uses a GGA-PBE-relaxed structure and Cu Kα (weighted mean of Kα1 and Kα2).
Neutral-atom scattering factors, no anomalous dispersion.

Principal peaks in the range 5° ≤ 2θ ≤ 70°, sorted by position:
| index | two_theta | I_rel |
| --- | --- | --- |
| 1 0 4 | 29.57 | 69 |
| 1 -1 0 | 29.78 | 100 |
| 1 0 -4 | 29.95 | 28 |
| 1 1 -4 | 30.33 | 29 |
| 1 2 0 | 30.66 | 72 |
| 2 1 0 | 30.99 | 63 |
| 0 2 -4 | 42.77 | 26 |
| 2 2 4 | 43.46 | 19 |
| 2 -1 4 | 52.73 | 16 |
| 3 0 0 | 53.83 | 21 |

```
data_Ba6MgIr6O18
_chemical_formula_sum 'Ba6 Mg1 Ir6 O18'
_symmetry_space_group_name_H-M 'P -1'
_symmetry_Int_Tables_number 2
_symmetry_space_group_name_Hall '-P 1'
_cell_length_a 5.7755
_cell_length_b 5.8382
_cell_length_c 14.8445
_cell_angle_alpha 89.25
_cell_angle_beta 89.00
_cell_angle_gamma 62.18
loop_
_atom_site_label
_atom_site_fract_x
_atom_site_fract_y
_atom_site_fract_z
_atom_site_occupancy
Ba1 0.0308 0.4776 0.2541 1
Ba2 0.3373 0.8342 0.4097 1
Ba3 0.4281 0.7647 0.1228 1
Mg1 0.0000 0.0000 0.0000 1
Ir1 0.0000 0.5000 0.0000 1
Ir2 0.0000 0.5000 0.5000 1
Ir3 0.3246 0.8332 0.6487 1
Ir4 0.3337 0.8512 0.8405 1
O1 0.0351 0.9768 0.7456 1
O2 0.0799 0.2027 0.9064 1
O3 0.1559 0.1297 0.5529 1
O4 0.1889 0.5984 0.5937 1
O5 0.2310 0.6706 0.9486 1
O6 0.3009 0.2533 0.0852 1
O7 0.3091 0.3765 0.4120 1
O8 0.4568 0.0101 0.7370 1
O9 0.4783 0.5570 0.7480 1
```

Diffraction record for Ba6MgIr6O18. The XRD peak list is theoretical, not measured: it uses a GGA-PBE-relaxed structure and Cu Kα (weighted mean of Kα1 and Kα2).
Neutral-atom scattering factors, no anomalous dispersion.

Principal peaks in the range 5° ≤ 2θ ≤ 70°, sorted by position:
| index | two_theta | I_rel |
| --- | --- | --- |
| 1 0 -4 | 28.91 | 48 |
| -1 1 4 | 29.73 | 32 |
| 0 1 4 | 30.04 | 74 |
| 1 1 0 | 30.10 | 81 |
| 1 0 4 | 30.42 | 42 |
| 1 -2 0 | 30.60 | 78 |
| 2 -1 0 | 31.30 | 100 |
| -2 2 4 | 43.53 | 34 |
| 3 0 0 | 54.67 | 26 |
| 3 -3 0 | 55.58 | 29 |

```
data_Ba6MgIr6O18
_chemical_formula_sum 'Ba6 Mg1 Ir6 O18'
_symmetry_space_group_name_H-M 'P 1'
_symmetry_Int_Tables_number 1
_symmetry_space_group_name_Hall 'P 1'
_cell_length_a 5.7205
_cell_length_b 5.8502
_cell_length_c 15.0322
_cell_angle_alpha 91.29
_cell_angle_beta 92.06
_cell_angle_gamma 118.12
loop_
_atom_site_label
_atom_site_fract_x
_atom_site_fract_y
_atom_site_fract_z
_atom_site_occupancy
Ba1 0.0000 0.0000 0.0000 1
Ba2 0.0304 0.0675 0.2975 1
Ba3 0.3530 0.7093 0.1489 1
Ba4 0.4011 0.8010 0.6329 1
Ba5 0.7269 0.4411 0.4772 1
Ba6 0.7656 0.5203 0.7544 1
Mg1 0.5350 0.1643 0.8880 1
Ir1 0.0453 0.1145 0.7319 1
Ir2 0.0624 0.1112 0.5397 1
Ir3 0.3396 0.6810 0.8958 1
Ir4 0.3803 0.7567 0.3911 1
Ir5 0.6932 0.4015 0.2416 1
Ir6 0.7043 0.3737 0.0538 1
O1 0.0077 0.5703 0.3342 1
O2 0.0638 0.4777 0.9877 1
O3 0.1693 0.9331 0.8429 1
O4 0.2162 0.4717 0.7859 1
O5 0.2628 0.4772 0.4866 1
O6 0.2980 0.9792 0.4766 1
O7 0.3429 0.2450 0.6425 1
O8 0.4075 0.2485 0.1407 1
O9 0.4705 0.5333 0.3080 1
O10 0.4931 0.0352 0.2967 1
O11 0.5212 0.9842 0.9994 1
O12 0.5615 0.4932 0.9369 1
O13 0.6954 0.0058 0.8079 1
O14 0.7590 0.9317 0.4423 1
O15 0.8403 0.6836 0.1464 1
O16 0.8574 0.2537 0.1562 1
O17 0.9019 0.2534 0.6307 1
O18 0.9037 0.8166 0.6267 1
```

Diffraction record for Ba6MgIr6O18. The XRD peak list is theoretical, not measured: it uses a GGA-PBE-relaxed structure and Cu Kα (weighted mean of Kα1 and Kα2).
Neutral-atom scattering factors, no anomalous dispersion.

Principal peaks in the range 5° ≤ 2θ ≤ 70°, sorted by position:
| index | two_theta | I_rel |
| --- | --- | --- |
| 0 1 1 | 18.84 | 24 |
| 1 0 -4 | 29.20 | 37 |
| 1 0 4 | 30.36 | 35 |
| 1 -2 0 | 30.53 | 100 |
| 1 -2 1 | 30.70 | 15 |
| 2 -1 0 | 30.87 | 82 |
| 1 -1 5 | 34.29 | 29 |
| 2 0 4 | 44.18 | 22 |
| 3 0 0 | 54.61 | 17 |
| 3 -3 0 | 54.77 | 16 |

```
data_Ba6MgIr6O18
_chemical_formula_sum 'Ba6 Mg1 Ir6 O18'
_symmetry_space_group_name_H-M 'P 1'
_symmetry_Int_Tables_number 1
_symmetry_space_group_name_Hall 'P 1'
_cell_length_a 5.7917
_cell_length_b 5.8627
_cell_length_c 14.9876
_cell_angle_alpha 93.98
_cell_angle_beta 90.09
_cell_angle_gamma 119.40
loop_
_atom_site_label
_atom_site_fract_x
_atom_site_fract_y
_atom_site_fract_z
_atom_site_occupancy
Ba1 0.0000 0.0000 0.0000 1
Ba2 0.0059 0.0174 0.3076 1
Ba3 0.3067 0.6138 0.8351 1
Ba4 0.3694 0.7338 0.4884 1
Ba5 0.5996 0.2001 0.7001 1
Ba6 0.6733 0.3543 0.1582 1
Mg1 0.7907 0.5736 0.5679 1
Ir1 0.0397 0.0753 0.5667 1
Ir2 0.3360 0.6785 0.2538 1
Ir3 0.3372 0.6760 0.0662 1
Ir4 0.6562 0.3119 0.9155 1
Ir5 0.6876 0.3760 0.4024 1
Ir6 0.9768 0.9536 0.7552 1
O1 0.0149 0.5354 0.9792 1
O2 0.1295 0.8334 0.6434 1
O3 0.1407 0.2818 0.6864 1
O4 0.1890 0.8257 0.1639 1
O5 0.1923 0.3862 0.1507 1
O6 0.2900 0.0757 0.8506 1
O7 0.4245 0.3056 0.5145 1
O8 0.4767 0.4581 0.3140 1
O9 0.4920 0.9908 0.3520 1
O10 0.5179 0.0461 0.0119 1
O11 0.5319 0.5473 0.9797 1
O12 0.6303 0.8264 0.1646 1
O13 0.7080 0.8342 0.6428 1
O14 0.7768 0.0660 0.8500 1
O15 0.7977 0.5850 0.8145 1
O16 0.8889 0.7728 0.4557 1
O17 0.8907 0.3089 0.5125 1
O18 0.9730 0.4601 0.3116 1
```

Diffraction record for Ba6MgIr6O18. The XRD peak list is theoretical, not measured: it uses a GGA-PBE-relaxed structure and Cu Kα (weighted mean of Kα1 and Kα2).
Neutral-atom scattering factors, no anomalous dispersion.

Principal peaks in the range 5° ≤ 2θ ≤ 70°, sorted by position:
| index | two_theta | I_rel |
| --- | --- | --- |
| 1 -1 4 | 29.03 | 26 |
| 1 1 -1 | 30.00 | 30 |
| 1 1 0 | 30.06 | 55 |
| 1 -2 0 | 30.22 | 87 |
| 1 0 4 | 30.76 | 50 |
| 0 1 4 | 31.22 | 26 |
| 2 -1 0 | 31.37 | 100 |
| 0 1 -5 | 32.63 | 35 |
| -1 1 5 | 35.97 | 32 |
| 2 0 4 | 44.85 | 30 |

```
data_Ba6MgIr6O18
_chemical_formula_sum 'Ba6 Mg1 Ir6 O18'
_symmetry_space_group_name_H-M 'P 1'
_symmetry_Int_Tables_number 1
_symmetry_space_group_name_Hall 'P 1'
_cell_length_a 5.7027
_cell_length_b 5.9562
_cell_length_c 15.0467
_cell_angle_alpha 96.36
_cell_angle_beta 90.17
_cell_angle_gamma 118.23
loop_
_atom_site_label
_atom_site_fract_x
_atom_site_fract_y
_atom_site_fract_z
_atom_site_occupancy
Ba1 0.0000 0.0000 0.0000 1
Ba2 0.0311 0.0699 0.3093 1
Ba3 0.2975 0.6055 0.8420 1
Ba4 0.4106 0.8016 0.4758 1
Ba5 0.6798 0.3753 0.1492 1
Ba6 0.7933 0.5353 0.6203 1
Mg1 0.5541 0.0964 0.7283 1
Ir1 0.0413 0.0718 0.7387 1
Ir2 0.0810 0.1459 0.5504 1
Ir3 0.3445 0.6865 0.0621 1
Ir4 0.3611 0.7229 0.2466 1
Ir5 0.6406 0.2788 0.9068 1
Ir6 0.7182 0.4333 0.3948 1
O1 0.2012 0.4161 0.1474 1
O2 0.2085 0.3947 0.6609 1
O3 0.2193 0.8718 0.1563 1
O4 0.2439 0.9890 0.6355 1
O5 0.2912 0.0417 0.8276 1
O6 0.4394 0.4467 0.9766 1
O7 0.4416 0.2916 0.4913 1
O8 0.4677 0.5133 0.3227 1
O9 0.5247 0.0145 0.0003 1
O10 0.5432 0.0621 0.3338 1
O11 0.6549 0.8398 0.1576 1
O12 0.7357 0.4694 0.7985 1
O13 0.7593 0.9998 0.6344 1
O14 0.7735 0.0521 0.8305 1
O15 0.8911 0.8037 0.4583 1
O16 0.9734 0.3529 0.4702 1
O17 0.9797 0.5401 0.9876 1
O18 0.9894 0.5668 0.3001 1
```

Diffraction record for Ba6MgIr6O18. The XRD peak list is theoretical, not measured: it uses a GGA-PBE-relaxed structure and Cu Kα (weighted mean of Kα1 and Kα2).
Neutral-atom scattering factors, no anomalous dispersion.

Principal peaks in the range 5° ≤ 2θ ≤ 70°, sorted by position:
| index | two_theta | I_rel |
| --- | --- | --- |
| 1 1 1 | 18.66 | 16 |
| 0 1 4 | 28.45 | 17 |
| 1 1 4 | 29.22 | 46 |
| 1 0 4 | 30.23 | 17 |
| 1 1 -4 | 30.35 | 16 |
| 0 1 -4 | 30.61 | 15 |
| 1 -1 0 | 30.89 | 100 |
| 2 1 0 | 31.49 | 60 |
| 2 2 -4 | 44.62 | 17 |
| 3 0 0 | 55.69 | 22 |

```
data_Ba6MgIr6O18
_chemical_formula_sum 'Ba6 Mg1 Ir6 O18'
_symmetry_space_group_name_H-M 'P 1'
_symmetry_Int_Tables_number 1
_symmetry_space_group_name_Hall 'P 1'
_cell_length_a 5.6821
_cell_length_b 5.7999
_cell_length_c 15.1452
_cell_angle_alpha 86.17
_cell_angle_beta 89.76
_cell_angle_gamma 60.73
loop_
_atom_site_label
_atom_site_fract_x
_atom_site_fract_y
_atom_site_fract_z
_atom_site_occupancy
Ba1 0.0000 0.0000 0.0000 1
Ba2 0.0135 0.9569 0.2981 1
Ba3 0.3458 0.3016 0.1370 1
Ba4 0.3764 0.2339 0.6357 1
Ba5 0.6316 0.7435 0.8491 1
Ba6 0.7032 0.5745 0.4649 1
Mg1 0.7326 0.5168 0.6889 1
Ir1 0.0049 0.9858 0.7346 1
Ir2 0.0413 0.8996 0.5435 1
Ir3 0.3157 0.3678 0.8874 1
Ir4 0.3605 0.2597 0.3904 1
Ir5 0.6756 0.6438 0.0524 1
Ir6 0.6805 0.6250 0.2385 1
O1 0.0033 0.4886 0.3252 1
O2 0.0252 0.4573 0.9822 1
O3 0.0947 0.2816 0.7865 1
O4 0.1238 0.7596 0.8478 1
O5 0.2207 0.5252 0.4919 1
O6 0.2288 0.0180 0.4492 1
O7 0.3347 0.7747 0.6504 1
O8 0.3809 0.7783 0.1427 1
O9 0.4857 0.4965 0.3260 1
O10 0.4937 0.0115 0.9798 1
O11 0.4966 0.0010 0.2908 1
O12 0.5238 0.4520 0.9804 1
O13 0.6198 0.2819 0.7856 1
O14 0.7275 0.0248 0.4520 1
O15 0.8267 0.3358 0.1501 1
O16 0.8321 0.7783 0.1432 1
O17 0.8747 0.7777 0.6540 1
O18 0.8813 0.2274 0.6146 1
```

Diffraction record for Ba3IrN3. The XRD peak list is theoretical, not measured: it uses a GGA-PBE-relaxed structure and Cu Kα (weighted mean of Kα1 and Kα2).
Neutral-atom scattering factors, no anomalous dispersion.

Principal peaks in the range 5° ≤ 2θ ≤ 70°, sorted by position:
| index | two_theta | I_rel |
| --- | --- | --- |
| 1 0 0 | 12.51 | 24 |
| 2 0 0 | 25.17 | 21 |
| 1 1 1 | 26.87 | 42 |
| 2 0 1 | 29.74 | 100 |
| 0 0 2 | 31.48 | 40 |
| 1 2 0 | 33.50 | 26 |
| 1 2 1 | 37.15 | 20 |
| 1 2 2 | 46.63 | 20 |
| 2 0 3 | 54.98 | 18 |
| 2 3 1 | 59.18 | 20 |

```
data_Ba3IrN3
_chemical_formula_sum 'Ba6 Ir2 N6'
_symmetry_space_group_name_H-M 'P 63/m'
_symmetry_Int_Tables_number 176
_symmetry_space_group_name_Hall '-P 6c'
_cell_length_a 8.1721
_cell_length_b 8.1721
_cell_length_c 5.6835
_cell_angle_alpha 90.00
_cell_angle_beta 90.00
_cell_angle_gamma 120.00
loop_
_atom_site_label
_atom_site_fract_x
_atom_site_fract_y
_atom_site_fract_z
_atom_site_occupancy
Ba1 0.0989 0.3647 0.2500 1
Ir1 0.3333 0.6667 0.7500 1
N1 0.1146 0.4250 0.7500 1
```

Diffraction record for BaIrN2. The XRD peak list is theoretical, not measured: it uses a GGA-PBE-relaxed structure and Cu Kα (weighted mean of Kα1 and Kα2).
Neutral-atom scattering factors, no anomalous dispersion.

Principal peaks in the range 5° ≤ 2θ ≤ 70°, sorted by position:
| index | two_theta | I_rel |
| --- | --- | --- |
| 0 2 0 | 13.12 | 17 |
| 0 4 0 | 26.41 | 45 |
| 1 1 2 | 28.22 | 87 |
| 0 4 1 | 28.89 | 29 |
| 2 0 0 | 29.22 | 64 |
| 1 3 2 | 34.00 | 100 |
| 1 1 3 | 38.69 | 18 |
| 2 4 0 | 39.79 | 34 |
| 1 7 1 | 51.06 | 21 |
| 3 3 2 | 54.95 | 33 |

```
data_BaIrN2
_chemical_formula_sum 'Ba8 Ir8 N16'
_symmetry_space_group_name_H-M 'C m c e'
_symmetry_Int_Tables_number 64
_symmetry_space_group_name_Hall '-C 2ac 2'
_cell_length_a 6.1118
_cell_length_b 13.4996
_cell_length_c 7.6861
_cell_angle_alpha 90.00
_cell_angle_beta 90.00
_cell_angle_gamma 90.00
loop_
_atom_site_label
_atom_site_fract_x
_atom_site_fract_y
_atom_site_fract_z
_atom_site_occupancy
Ba1 0.0000 0.1390 0.0838 1
Ir1 0.0000 0.0886 0.6330 1
N1 0.0000 0.1702 0.4480 1
N2 0.2500 0.0373 0.7500 1
```

Diffraction record for Ba4Ir3N7. The XRD peak list is theoretical, not measured: it uses a GGA-PBE-relaxed structure and Cu Kα (weighted mean of Kα1 and Kα2).
Neutral-atom scattering factors, no anomalous dispersion.

Principal peaks in the range 5° ≤ 2θ ≤ 70°, sorted by position:
| index | two_theta | I_rel |
| --- | --- | --- |
| 2 0 0 | 19.38 | 21 |
| 2 1 1 | 26.84 | 22 |
| 0 2 0 | 27.74 | 26 |
| 2 1 -5 | 28.29 | 32 |
| 3 1 -3 | 28.47 | 100 |
| 2 0 -6 | 29.18 | 21 |
| 1 0 -6 | 30.33 | 25 |
| 1 2 -3 | 31.41 | 34 |
| 4 1 -3 | 36.23 | 21 |
| 3 3 -3 | 49.52 | 21 |

```
data_Ba4Ir3N7
_chemical_formula_sum 'Ba16 Ir12 N28'
_symmetry_space_group_name_H-M 'P 1 2/c 1'
_symmetry_Int_Tables_number 13
_symmetry_space_group_name_Hall '-P 2yc'
_cell_length_a 10.7940
_cell_length_b 6.4320
_cell_length_c 18.3959
_cell_angle_alpha 90.00
_cell_angle_beta 121.86
_cell_angle_gamma 90.00
loop_
_atom_site_label
_atom_site_fract_x
_atom_site_fract_y
_atom_site_fract_z
_atom_site_occupancy
Ba1 0.0000 0.0923 0.2500 1
Ba2 0.2146 0.2777 0.9741 1
Ba3 0.2165 0.1705 0.6208 1
Ba4 0.3669 0.2359 0.4239 1
Ba5 0.5000 0.3292 0.2500 1
Ir1 0.0482 0.3078 0.0864 1
Ir2 0.1492 0.4104 0.7592 1
Ir3 0.4548 0.2291 0.8511 1
N1 0.0000 0.5000 0.0000 1
N2 0.0483 0.0714 0.4172 1
N3 0.0719 0.4994 0.3268 1
N4 0.2007 0.3934 0.1975 1
N5 0.2518 0.1461 0.7978 1
N6 0.4313 0.0128 0.0907 1
N7 0.4539 0.4629 0.5832 1
N8 0.5000 0.2453 0.7500 1
```

Copy entry 5 word for word.
Diffraction record for Ba6MgIr6O18. The XRD peak list is theoretical, not measured: it uses a GGA-PBE-relaxed structure and Cu Kα (weighted mean of Kα1 and Kα2).
Neutral-atom scattering factors, no anomalous dispersion.

Principal peaks in the range 5° ≤ 2θ ≤ 70°, sorted by position:
| index | two_theta | I_rel |
| --- | --- | --- |
| 1 -1 4 | 29.03 | 26 |
| 1 1 -1 | 30.00 | 30 |
| 1 1 0 | 30.06 | 55 |
| 1 -2 0 | 30.22 | 87 |
| 1 0 4 | 30.76 | 50 |
| 0 1 4 | 31.22 | 26 |
| 2 -1 0 | 31.37 | 100 |
| 0 1 -5 | 32.63 | 35 |
| -1 1 5 | 35.97 | 32 |
| 2 0 4 | 44.85 | 30 |

```
data_Ba6MgIr6O18
_chemical_formula_sum 'Ba6 Mg1 Ir6 O18'
_symmetry_space_group_name_H-M 'P 1'
_symmetry_Int_Tables_number 1
_symmetry_space_group_name_Hall 'P 1'
_cell_length_a 5.7027
_cell_length_b 5.9562
_cell_length_c 15.0467
_cell_angle_alpha 96.36
_cell_angle_beta 90.17
_cell_angle_gamma 118.23
loop_
_atom_site_label
_atom_site_fract_x
_atom_site_fract_y
_atom_site_fract_z
_atom_site_occupancy
Ba1 0.0000 0.0000 0.0000 1
Ba2 0.0311 0.0699 0.3093 1
Ba3 0.2975 0.6055 0.8420 1
Ba4 0.4106 0.8016 0.4758 1
Ba5 0.6798 0.3753 0.1492 1
Ba6 0.7933 0.5353 0.6203 1
Mg1 0.5541 0.0964 0.7283 1
Ir1 0.0413 0.0718 0.7387 1
Ir2 0.0810 0.1459 0.5504 1
Ir3 0.3445 0.6865 0.0621 1
Ir4 0.3611 0.7229 0.2466 1
Ir5 0.6406 0.2788 0.9068 1
Ir6 0.7182 0.4333 0.3948 1
O1 0.2012 0.4161 0.1474 1
O2 0.2085 0.3947 0.6609 1
O3 0.2193 0.8718 0.1563 1
O4 0.2439 0.9890 0.6355 1
O5 0.2912 0.0417 0.8276 1
O6 0.4394 0.4467 0.9766 1
O7 0.4416 0.2916 0.4913 1
O8 0.4677 0.5133 0.3227 1
O9 0.5247 0.0145 0.0003 1
O10 0.5432 0.0621 0.3338 1
O11 0.6549 0.8398 0.1576 1
O12 0.7357 0.4694 0.7985 1
O13 0.7593 0.9998 0.6344 1
O14 0.7735 0.0521 0.8305 1
O15 0.8911 0.8037 0.4583 1
O16 0.9734 0.3529 0.4702 1
O17 0.9797 0.5401 0.9876 1
O18 0.9894 0.5668 0.3001 1
```

Number 8 is which compound? BaIrN2